Starting from DFT lattice parameters and positions (GGA-PBE), the PXRD pattern of Tb5YCu6 was computed for Cu Kα (weighted mean of Kα1 and Kα2).

Cell and atoms:
Lattice parameters (Å, degrees): 4.9487 6.9093 7.8172 90.00 108.27 90.00
Fractional coordinates of all 12 atoms:
Tb  0.0000  0.0000  0.0000
Tb  0.3334  0.5000  0.6668
Tb  0.3335  0.0000  0.6670
Tb  0.6665  0.0000  0.3330
Tb  0.6666  0.5000  0.3332
Y  0.0000  0.5000  0.0000
Cu  0.1672  0.2496  0.3343
Cu  0.1672  0.7504  0.3343
Cu  0.5000  0.2497  0.0000
Cu  0.5000  0.7503  0.0000
Cu  0.8328  0.2496  0.6657
Cu  0.8328  0.7504  0.6657

Main lines, by angle (15° ≤ 2θ ≤ 90°):
2θ = 25.5°, intensity 16; 2θ = 25.8°, intensity 8; 2θ = 36.3°, intensity 51; 2θ = 36.6°, intensity 100; 2θ = 52.2°, intensity 9; 2θ = 52.4°, intensity 9; 2θ = 53.0°, intensity 8; 2θ = 65.4°, intensity 18; 2θ = 65.5°, intensity 17; 2θ = 66.0°, intensity 17